[1]
Starting from a structure optimized by DFT (GGA-PBE), the X-ray diffraction stick pattern of Nb2GaC was calculated for Cu Ka.
Lines closer than 0.1° are merged.

Peak list (10 most intense, 15° ≤ 2θ ≤ 90°, sorted by position)
two_theta, I (rel.), (hkl)
32.7, 22, 1 0 0
38.4, 100, 1 0 3
39.7, 18, 0 0 6
52.3, 15, 1 0 6
58.4, 20, 1 1 0
68.5, 3, 2 0 0
71.2, 14, 1 0 9
72.0, 15, 2 0 3
72.9, 17, 1 1 6
82.2, 4, 2 0 6

Structural model:
a b c (Å): 3.1623 3.1623 13.6201
angles (deg): 90.00 90.00 120.00
Space group P6_3/mmc (No. 194)
Unique sites:
Nb: 0.3333 0.6667 0.0894
Ga: 0.3333 0.6667 0.7500
C: 0.0000 0.0000 0.0000



[2]
Starting from a structure optimized by DFT (GGA-PBE), the X-ray diffraction stick pattern of Nd3GaC was calculated for Cu Ka.
Lines closer than 0.1° are merged.

Peak list (10 most intense, 15° ≤ 2θ ≤ 90°, sorted by position)
two_theta, I (rel.), (hkl)
16.1, 87, 1 0 0
28.1, 100, 1 1 1
32.5, 99, 2 0 0
36.5, 47, 2 1 0
46.7, 72, 2 2 0
49.7, 25, 3 0 0
55.4, 45, 3 1 1
58.1, 25, 2 2 2
77.6, 32, 4 2 0
86.7, 24, 4 2 2

Structural model:
a b c (Å): 5.503 5.503 5.503
angles (deg): 90.00 90.00 90.00
Space group Pm-3m (No. 221)
Unique sites:
Nd: 0.000 0.000 0.500
Ga: 0.000 0.000 0.000
C: 0.500 0.500 0.500



[3]
Starting from a structure optimized by DFT (GGA-PBE), the X-ray diffraction stick pattern of GaNi3C was calculated for Cu Ka.
Lines closer than 0.1° are merged.

Peak list (5 most intense, 15° ≤ 2θ ≤ 90°, sorted by position)
two_theta, I (rel.), (hkl)
33.6, 1, 1 1 0
41.4, 100, 1 1 1
48.2, 55, 2 0 0
70.6, 32, 2 2 0
85.3, 33, 3 1 1

Structural model:
a b c (Å): 3.776 3.776 3.776
angles (deg): 90.00 90.00 90.00
Space group Pm-3m (No. 221)
Unique sites:
Ga: 0.000 0.000 0.000
Ni: 0.000 0.500 0.500
C: 0.500 0.500 0.500



[4]
Starting from a structure optimized by DFT (GGA-PBE), the X-ray diffraction stick pattern of Pr3GaC was calculated for Cu Ka.
Lines closer than 0.1° are merged.

Peak list (10 most intense, 15° ≤ 2θ ≤ 90°, sorted by position)
two_theta, I (rel.), (hkl)
16.0, 87, 1 0 0
27.9, 99, 1 1 1
32.3, 100, 2 0 0
36.3, 47, 2 1 0
46.4, 73, 2 2 0
49.4, 25, 3 0 0
55.0, 44, 3 1 1
57.7, 25, 2 2 2
77.0, 32, 4 2 0
86.0, 24, 4 2 2

Structural model:
a b c (Å): 5.537 5.537 5.537
angles (deg): 90.00 90.00 90.00
Space group Pm-3m (No. 221)
Unique sites:
Pr: 0.000 0.000 0.500
Ga: 0.000 0.000 0.000
C: 0.500 0.500 0.500



[5]
Starting from a structure optimized by DFT (GGA-PBE), the X-ray diffraction stick pattern of Sc2GaC was calculated for Cu Ka.
Lines closer than 0.1° are merged.

Peak list (10 most intense, 15° ≤ 2θ ≤ 90°, sorted by position)
two_theta, I (rel.), (hkl)
31.2, 19, 1 0 0
31.8, 4, 1 0 1
33.6, 4, 1 0 2
36.3, 100, 1 0 3
36.7, 19, 0 0 6
48.9, 17, 1 0 6
55.5, 20, 1 1 0
65.8, 16, 1 0 9
68.2, 14, 2 0 3
68.4, 17, 1 1 6

Structural model:
a b c (Å): 3.3089 3.3089 14.6967
angles (deg): 90.00 90.00 120.00
Space group P6_3/mmc (No. 194)
Unique sites:
Sc: 0.3333 0.6667 0.0845
Ga: 0.3333 0.6667 0.7500
C: 0.0000 0.0000 0.0000



[6]
Starting from a structure optimized by DFT (GGA-PBE), the X-ray diffraction stick pattern of Tm3GaC was calculated for Cu Ka.
Lines closer than 0.1° are merged.

Peak list (10 most intense, 15° ≤ 2θ ≤ 90°, sorted by position)
two_theta, I (rel.), (hkl)
17.0, 77, 1 0 0
29.6, 100, 1 1 1
34.3, 91, 2 0 0
38.5, 41, 2 1 0
49.3, 65, 2 2 0
52.5, 21, 3 0 0
58.6, 44, 3 1 1
61.5, 22, 2 2 2
80.0, 18, 3 3 1
82.6, 29, 4 2 0

Structural model:
a b c (Å): 5.225 5.225 5.225
angles (deg): 90.00 90.00 90.00
Space group Pm-3m (No. 221)
Unique sites:
Tm: 0.000 0.000 0.500
Ga: 0.000 0.000 0.000
C: 0.500 0.500 0.500



[7]
Starting from a structure optimized by DFT (GGA-PBE), the X-ray diffraction stick pattern of V2GaC was calculated for Cu Ka.
Lines closer than 0.1° are merged.

Peak list (10 most intense, 15° ≤ 2θ ≤ 90°, sorted by position)
two_theta, I (rel.), (hkl)
35.3, 20, 1 0 0
38.0, 3, 1 0 2
41.3, 100, 1 0 3
42.1, 19, 0 0 6
56.1, 15, 1 0 6
63.3, 19, 1 1 0
76.3, 15, 1 0 9
78.4, 13, 2 0 3
79.0, 16, 1 1 6
89.6, 4, 2 0 6

Structural model:
a b c (Å): 2.9368 2.9368 12.8826
angles (deg): 90.00 90.00 120.00
Space group P6_3/mmc (No. 194)
Unique sites:
V: 0.3333 0.6667 0.0855
Ga: 0.3333 0.6667 0.7500
C: 0.0000 0.0000 0.0000



[8]
Starting from a structure optimized by DFT (GGA-PBE), the X-ray diffraction stick pattern of GdC2 was calculated for Cu Ka.
Lines closer than 0.1° are merged.

Peak list (10 most intense, 15° ≤ 2θ ≤ 90°, sorted by position)
two_theta, I (rel.), (hkl)
27.8, 100, 1 0 1
28.4, 33, 0 0 2
34.0, 50, 1 1 0
44.9, 38, 1 1 2
48.8, 17, 2 0 0
49.9, 28, 1 0 3
57.1, 29, 2 1 1
57.4, 18, 2 0 2
72.4, 18, 2 1 3
88.5, 11, 3 1 2

Structural model:
a b c (Å): 3.734 3.734 6.281
angles (deg): 90.00 90.00 90.00
Space group I4/mmm (No. 139)
Unique sites:
Gd: 0.000 0.000 0.000
C: 0.000 0.000 0.396